1.
The following is a theoretical powder X-ray diffraction pattern of NbCrSn2O6. It was derived from a DFT-relaxed cell (PBE+U, the Materials Project), using Cu Kα X-rays.
Kinematic intensities with the Lorentz-polarization factor, no thermal factor.

The 8 most intense peaks (15 to 90 degrees two-theta), sorted by position:
index, 2θ/deg, d_spacing, Rel. int.
2 2 0, 31.55, 2.836, 100
2 2 2, 38.89, 2.316, 11
4 0 0, 45.22, 2.005, 34
4 2 2, 56.18, 1.637, 40
4 4 0, 65.87, 1.418, 20
6 2 0, 74.87, 1.268, 18
6 2 2, 79.21, 1.209, 4
4 4 4, 83.49, 1.158, 7

Structure:
abc: 8.0216 8.0216 8.0216
angles: 90.00 90.00 90.00
Space group Fm-3m (No. 225)
Symmetry-distinct sites (fractional):
Nb 0.0000 0.0000 0.0000 (multiplicity 4)
Cr 0.0000 0.0000 0.5000 (multiplicity 4)
Sn 0.2500 0.2500 0.2500 (multiplicity 8)
O 0.0000 0.0000 0.2503 (multiplicity 24)

2.
The following is a theoretical powder X-ray diffraction pattern of SrNbCrSnO6. It was derived from a DFT-relaxed cell (PBE+U, the Materials Project), using Cu Kα X-rays.
Kinematic intensities with the Lorentz-polarization factor, no thermal factor.

The 8 most intense peaks (15 to 90 degrees two-theta), sorted by position:
index, 2θ/deg, d_spacing, Rel. int.
1 1 1, 19.17, 4.629, 6
2 2 0, 31.56, 2.835, 100
2 2 2, 38.91, 2.314, 9
4 0 0, 45.24, 2.004, 35
4 2 2, 56.21, 1.637, 39
4 4 0, 65.90, 1.417, 21
6 2 0, 74.91, 1.268, 17
4 4 4, 83.55, 1.157, 7

Structure:
abc: 8.0175 8.0175 8.0175
angles: 90.00 90.00 90.00
Space group F-43m (No. 216)
Symmetry-distinct sites (fractional):
Sr 0.0000 0.0000 0.0000 (multiplicity 4)
Nb 0.2500 0.2500 0.7500 (multiplicity 4)
Cr 0.2500 0.2500 0.2500 (multiplicity 4)
Sn 0.0000 0.0000 0.5000 (multiplicity 4)
O 0.0002 0.2500 0.2500 (multiplicity 24)

3.
The following is a theoretical powder X-ray diffraction pattern of Sr2NbCrO6. It was derived from a DFT-relaxed cell (PBE+U, the Materials Project), using Cu Kα X-rays.
Kinematic intensities with the Lorentz-polarization factor, no thermal factor.

The 8 most intense peaks (15 to 90 degrees two-theta), sorted by position:
index, 2θ/deg, d_spacing, Rel. int.
1 1 1, 19.18, 4.628, 5
2 2 0, 31.57, 2.834, 100
2 2 2, 38.92, 2.314, 7
4 0 0, 45.25, 2.004, 37
4 2 2, 56.22, 1.636, 38
4 4 0, 65.92, 1.417, 22
6 2 0, 74.93, 1.267, 16
4 4 4, 83.56, 1.157, 7

Structure:
abc: 8.0161 8.0161 8.0161
angles: 90.00 90.00 90.00
Space group Fm-3m (No. 225)
Symmetry-distinct sites (fractional):
Sr 0.2500 0.2500 0.2500 (multiplicity 8)
Nb 0.0000 0.0000 0.0000 (multiplicity 4)
Cr 0.0000 0.0000 0.5000 (multiplicity 4)
O 0.0000 0.0000 0.2502 (multiplicity 24)

4.
The following is a theoretical powder X-ray diffraction pattern of TiNbCrO6. It was derived from a DFT-relaxed cell (PBE+U, the Materials Project), using Cu Kα X-rays.
Kinematic intensities with the Lorentz-polarization factor, no thermal factor.

The 8 most intense peaks (15 to 90 degrees two-theta), sorted by position:
index, 2θ/deg, d_spacing, Rel. int.
1 0 1, 21.27, 4.178, 15
1 1 0, 26.80, 3.326, 100
1 0 3, 35.24, 2.547, 58
2 0 0, 38.27, 2.352, 12
2 1 3, 53.00, 1.728, 60
2 2 0, 55.23, 1.663, 17
3 0 3, 67.23, 1.393, 20
1 1 6, 68.02, 1.378, 12

Structure:
abc: 4.7042 4.7042 9.0864
angles: 90.00 90.00 90.00
Space group P4_2nm (No. 102)
Symmetry-distinct sites (fractional):
Ti 0.0000 0.0000 0.0000 (multiplicity 2)
Nb 0.0000 0.0000 0.6639 (multiplicity 2)
Cr 0.0000 0.0000 0.3310 (multiplicity 2)
O 0.1937 0.1937 0.1609 (multiplicity 4)
O 0.1945 0.1945 0.8333 (multiplicity 4)
O 0.1999 0.1999 0.5001 (multiplicity 4)

5.
The following is a theoretical powder X-ray diffraction pattern of Nb2Zn2CrO8. It was derived from a DFT-relaxed cell (PBE+U, the Materials Project), using Cu Kα X-rays.
Kinematic intensities with the Lorentz-polarization factor, no thermal factor.

The 8 most intense peaks (15 to 90 degrees two-theta), sorted by position:
index, 2θ/deg, d_spacing, Rel. int.
5 1 0, 27.22, 3.276, 78
5 1 -1, 31.96, 2.800, 81
5 1 1, 32.32, 2.770, 100
0 0 2, 33.91, 2.643, 59
0 2 1, 34.39, 2.608, 90
5 3 0, 51.32, 1.780, 50
10 0 2, 59.23, 1.560, 30
0 2 3, 60.99, 1.519, 36

Structure:
abc: 19.5615 5.9963 5.2871
angles: 90.00 90.84 90.00
Space group Cc (No. 9)
Symmetry-distinct sites (fractional):
Nb 0.0000 0.1592 0.0000 (multiplicity 4)
Nb 0.2319 0.1602 0.9723 (multiplicity 4)
Zn 0.3362 0.3464 0.4747 (multiplicity 4)
Zn 0.3969 0.1564 0.0026 (multiplicity 4)
Cr 0.1155 0.3503 0.4968 (multiplicity 4)
O 0.0457 0.1216 0.6675 (multiplicity 4)
O 0.0578 0.3580 0.1658 (multiplicity 4)
O 0.1728 0.3778 0.8335 (multiplicity 4)
O 0.1884 0.1082 0.3046 (multiplicity 4)
O 0.2957 0.1059 0.6752 (multiplicity 4)
O 0.3108 0.3539 0.1036 (multiplicity 4)
O 0.4224 0.1448 0.3753 (multiplicity 4)
O 0.4373 0.3964 0.8021 (multiplicity 4)

6.
The following is a theoretical powder X-ray diffraction pattern of Sr2Nd2CrNiO8. It was derived from a DFT-relaxed cell (PBE+U, the Materials Project), using Cu Kα X-rays.
Kinematic intensities with the Lorentz-polarization factor, no thermal factor.

The 8 most intense peaks (15 to 90 degrees two-theta), sorted by position:
index, 2θ/deg, d_spacing, Rel. int.
1 1 1, 24.18, 3.681, 18
1 1 3, 31.61, 2.830, 100
2 0 0, 32.84, 2.727, 36
0 2 0, 32.95, 2.718, 36
2 0 4, 44.08, 2.055, 30
2 2 0, 47.21, 1.925, 38
3 1 3, 57.86, 1.594, 18
1 3 3, 58.00, 1.590, 18

Structure:
abc: 5.4546 5.4366 12.5238
angles: 90.00 90.00 90.00
Space group Amm2 (No. 38)
Symmetry-distinct sites (fractional):
Sr 0.0000 0.0000 0.0000 (multiplicity 2)
Sr 0.5000 0.0000 0.2088 (multiplicity 2)
Nd 0.0000 0.0000 0.7165 (multiplicity 2)
Nd 0.5000 0.0000 0.4915 (multiplicity 2)
Cr 0.0000 0.0000 0.3538 (multiplicity 2)
Ni 0.5000 0.0000 0.8563 (multiplicity 2)
O 0.0000 0.0000 0.1937 (multiplicity 2)
O 0.0000 0.0000 0.5272 (multiplicity 2)
O 0.2523 0.2463 0.8536 (multiplicity 8)
O 0.5000 0.0000 0.0182 (multiplicity 2)
O 0.5000 0.0000 0.6748 (multiplicity 2)